# MoPb3Cl2O5
Theoretical powder X-ray diffraction pattern, copper Kα. Input: a crystal structure in Alexandria, relaxed with GGA+U.
No peak broadening, texture or thermal motion is included.

abc: 7.270 7.270 11.201
angles: 90.00 90.00 133.97
Fractional coordinates of all 22 atoms:
Mo  0.237  0.763  0.750
Mo  0.763  0.237  0.250
Pb  0.099  0.901  0.250
Pb  0.346  0.654  0.033
Pb  0.346  0.654  0.467
Pb  0.654  0.346  0.533
Pb  0.654  0.346  0.967
Pb  0.901  0.099  0.750
Cl  0.000  0.000  0.000
Cl  0.000  0.000  0.500
Cl  0.479  0.521  0.750
Cl  0.521  0.479  0.250
O  0.039  0.494  0.630
O  0.039  0.494  0.870
O  0.108  0.892  0.750
O  0.494  0.039  0.130
O  0.494  0.039  0.370
O  0.506  0.961  0.630
O  0.506  0.961  0.870
O  0.892  0.108  0.250
O  0.961  0.506  0.130
O  0.961  0.506  0.370

Top 10 peaks for 2θ = 5–70°, low angle first:
2θ/deg	I_rel
23.27	709
25.38	259
26.62	480
27.35	323
30.05	1000
31.48	431
31.96	280
43.68	243
45.47	307
54.82	270